Record 1
Tb3Dy8Zr: simulated XRD peak list (Cu Ka), based on a structure optimized by DFT (PBE).

Crystal structure
```
12
Lattice="-3.8157 3.8157 7.5636 3.8157 -3.8157 7.5636 3.8157 3.8157 -7.5636" Properties=species:S:1:pos:R:3 pbc="T T T"
Tb 0.0000 0.0000 0.0000
Tb 3.8157 0.0000 3.7818
Tb 0.0000 3.8157 3.7818
Dy 1.9825 1.9825 -1.8117
Dy 1.8332 -1.8332 5.7519
Dy 1.9825 1.9825 1.8117
Dy 1.8332 -1.8332 9.3753
Dy -1.8332 1.8332 5.7519
Dy 1.8332 1.8332 5.7519
Dy -1.8332 1.8332 9.3753
Dy 1.8332 1.8332 9.3753
Zr 0.0000 0.0000 7.5636
```

Top 6 peaks for 2θ from 15° to 90°, by intensity:
2θ = 33.36°, intensity 100.0; 2θ = 33.20°, intensity 50.7; 2θ = 59.42°, intensity 36.7; 2θ = 20.22°, intensity 33.9; 2θ = 23.31°, intensity 18.4; 2θ = 47.67°, intensity 18.1



Record 2
TbDy14Zr: simulated XRD peak list (Cu Ka), based on a structure optimized by DFT (PBE).

Crystal structure
```
16
Lattice="7.0398 0.0000 0.0000 0.0000 7.0398 0.0000 0.0000 0.0000 9.9304" Properties=species:S:1:pos:R:3 pbc="T T T"
Tb 0.0000 0.0000 0.0000
Dy 0.0000 0.0000 4.9652
Dy 0.0000 3.5199 0.0000
Dy 0.0000 3.5199 4.9652
Dy 1.7945 1.7945 2.4329
Dy 1.7945 1.7945 7.4976
Dy 1.7945 5.2453 2.4329
Dy 1.7945 5.2453 7.4976
Dy 3.5199 0.0000 0.0000
Dy 3.5199 0.0000 4.9652
Dy 3.5199 3.5199 4.9652
Dy 5.2453 1.7945 2.4329
Dy 5.2453 1.7945 7.4976
Dy 5.2453 5.2453 2.4329
Dy 5.2453 5.2453 7.4976
Zr 3.5199 3.5199 0.0000
```

Top 6 peaks for 2θ from 15° to 90°, by intensity:
2θ = 31.15°, intensity 100.0; 2θ = 36.12°, intensity 50.5; 2θ = 52.00°, intensity 35.6; 2θ = 61.83°, intensity 28.1; 2θ = 61.96°, intensity 13.9; 2θ = 64.95°, intensity 12.1